Simulated powder X-ray diffraction pattern of Pa2AlNi3 for Cu Kα (λ = 1.5418 Å), from DFT lattice parameters and positions (GGA-PBE).
No peak broadening, texture or thermal motion is included.

Cell and atoms:
Lattice parameters (Å, degrees): 5.2789 5.2789 7.9143 90.00 90.00 120.00
Element x y z (fractional)
1 Pa 0.3333 0.6667 0.0686
2 Pa 0.3333 0.6667 0.4314
3 Pa 0.6667 0.3333 0.5686
4 Pa 0.6667 0.3333 0.9314
5 Al 0.0000 0.0000 0.0000
6 Al 0.0000 0.0000 0.5000
7 Ni 0.1691 0.3381 0.7500
8 Ni 0.1691 0.8309 0.7500
9 Ni 0.3381 0.1691 0.2500
10 Ni 0.6619 0.8309 0.7500
11 Ni 0.8309 0.1691 0.2500
12 Ni 0.8309 0.6619 0.2500

Principal peaks in the range 10° ≤ 2θ ≤ 80°, in order of rising 2θ:
2θ/deg  intensity
19.4  35
22.5  23
29.9  20
34.0  55
39.4  100
41.1  99
64.5  38
65.7  14
71.5  20
72.7  19

---

Simulated powder X-ray diffraction pattern of Mg2Ru2O7 for Cu Kα (λ = 1.5418 Å), from DFT lattice parameters and positions (GGA-PBE).
No peak broadening, texture or thermal motion is included.

Cell and atoms:
Lattice parameters (Å, degrees): 4.8751 4.8751 5.0355 90.08 90.08 87.41
Element x y z (fractional)
1 Mg 0.2274 0.7726 0.0000
2 Mg 0.7726 0.2274 0.0000
3 Ru 0.2300 0.2300 0.5000
4 Ru 0.7700 0.7700 0.5000
5 O 0.9998 0.9998 0.2782
6 O 0.0002 0.0002 0.7218
7 O 0.9997 0.4998 0.2509
8 O 0.0003 0.5002 0.7491
9 O 0.4998 0.9997 0.2509
10 O 0.5002 0.0003 0.7491
11 O 0.5000 0.5000 0.5000

Principal peaks in the range 10° ≤ 2θ ≤ 80°, in order of rising 2θ:
2θ/deg  intensity
17.6  91
25.3  33
26.5  20
31.0  73
32.0  100
41.2  21
44.9  21
51.9  18
52.3  64
62.3  22

---

Simulated powder X-ray diffraction pattern of ErFe2B4 for Cu Kα (λ = 1.5418 Å), from DFT lattice parameters and positions (GGA-PBE).
No peak broadening, texture or thermal motion is included.

Cell and atoms:
Lattice parameters (Å, degrees): 3.0606 3.2652 13.6234 90.00 90.00 90.00
Element x y z (fractional)
1 Er 0.0000 0.0000 0.0000
2 Er 0.5000 0.5000 0.5000
3 Fe 0.0000 0.5000 0.3080
4 Fe 0.0000 0.5000 0.6920
5 Fe 0.5000 0.0000 0.1920
6 Fe 0.5000 0.0000 0.8080
7 B 0.0000 0.0000 0.4011
8 B 0.0000 0.0000 0.5989
9 B 0.0000 0.5000 0.1560
10 B 0.0000 0.5000 0.8440
11 B 0.5000 0.0000 0.3440
12 B 0.5000 0.0000 0.6560
13 B 0.5000 0.5000 0.0989
14 B 0.5000 0.5000 0.9011

Principal peaks in the range 10° ≤ 2θ ≤ 80°, in order of rising 2θ:
2θ/deg  intensity
13.0  34
26.2  30
28.1  75
29.9  26
35.4  82
39.7  24
42.6  100
43.2  58
68.3  27
69.4  26

---

Simulated powder X-ray diffraction pattern of Sm2Ga8Tc for Cu Kα (λ = 1.5418 Å), from DFT lattice parameters and positions (GGA-PBE).
No peak broadening, texture or thermal motion is included.

Cell and atoms:
Lattice parameters (Å, degrees): 4.3245 4.3245 11.5308 90.00 90.00 90.00
Element x y z (fractional)
1 Sm 0.0000 0.0000 0.1909
2 Sm 0.0000 0.0000 0.8091
3 Ga 0.0000 0.5000 0.0000
4 Ga 0.0000 0.5000 0.3797
5 Ga 0.0000 0.5000 0.6203
6 Ga 0.5000 0.0000 0.0000
7 Ga 0.5000 0.0000 0.3797
8 Ga 0.5000 0.0000 0.6203
9 Ga 0.5000 0.5000 0.1911
10 Ga 0.5000 0.5000 0.8089
11 Tc 0.0000 0.0000 0.5000

Principal peaks in the range 10° ≤ 2θ ≤ 80°, in order of rising 2θ:
2θ/deg  intensity
20.5  21
31.1  13
33.2  30
37.6  100
39.1  16
41.8  51
58.5  19
60.6  17
72.5  12
73.5  27

---

Simulated powder X-ray diffraction pattern of In2Ag3Sn2 for Cu Kα (λ = 1.5418 Å), from DFT lattice parameters and positions (GGA-PBE).
No peak broadening, texture or thermal motion is included.

Cell and atoms:
Lattice parameters (Å, degrees): 4.8838 5.2668 7.3616 110.12 109.32 90.22
Element x y z (fractional)
1 In 0.1153 0.1282 0.2323
2 In 0.8847 0.8718 0.7677
3 Ag 0.0000 0.5000 0.0000
4 Ag 0.2585 0.8435 0.5192
5 Ag 0.7415 0.1565 0.4808
6 Sn 0.3774 0.4629 0.7500
7 Sn 0.6226 0.5371 0.2500

Principal peaks in the range 10° ≤ 2θ ≤ 80°, in order of rising 2θ:
2θ/deg  intensity
26.5  28
27.6  18
34.0  36
36.8  61
37.3  91
37.7  100
39.5  27
39.7  25
57.0  17
66.9  18

---

Simulated powder X-ray diffraction pattern of Sm4SbP3 for Cu Kα (λ = 1.5418 Å), from DFT lattice parameters and positions (GGA-PBE).
No peak broadening, texture or thermal motion is included.

Cell and atoms:
Lattice parameters (Å, degrees): 4.1764 5.9583 8.4342 90.00 90.00 90.00
Element x y z (fractional)
1 Sm 0.0000 0.0000 0.0000
2 Sm 0.0000 0.0000 0.5000
3 Sm 0.5000 0.5000 0.2314
4 Sm 0.5000 0.5000 0.7686
5 Sb 0.0000 0.5000 0.5000
6 P 0.0000 0.5000 0.0000
7 P 0.5000 0.0000 0.2474
8 P 0.5000 0.0000 0.7526

Principal peaks in the range 10° ≤ 2θ ≤ 80°, in order of rising 2θ:
2θ/deg  intensity
25.9  31
26.1  32
30.0  52
30.1  100
43.0  75
43.3  19
50.9  20
53.2  19
53.6  20
70.8  24

---

Simulated powder X-ray diffraction pattern of Y3Tl5 for Cu Kα (λ = 1.5418 Å), from DFT lattice parameters and positions (GGA-PBE).
No peak broadening, texture or thermal motion is included.

Cell and atoms:
Lattice parameters (Å, degrees): 9.1215 9.6919 4.9486 90.00 90.00 90.00
Element x y z (fractional)
1 Y 0.0000 0.0000 0.0000
2 Y 0.0000 0.2797 0.5000
3 Y 0.0000 0.7203 0.5000
4 Y 0.5000 0.2203 0.5000
5 Y 0.5000 0.5000 0.0000
6 Y 0.5000 0.7797 0.5000
7 Tl 0.0000 0.5000 0.0000
8 Tl 0.2254 0.0000 0.5000
9 Tl 0.2500 0.2500 0.0000
10 Tl 0.2500 0.7500 0.0000
11 Tl 0.2746 0.5000 0.5000
12 Tl 0.5000 0.0000 0.0000
13 Tl 0.7254 0.5000 0.5000
14 Tl 0.7500 0.2500 0.0000
15 Tl 0.7500 0.7500 0.0000
16 Tl 0.7746 0.0000 0.5000

Principal peaks in the range 10° ≤ 2θ ≤ 80°, in order of rising 2θ:
2θ/deg  intensity
32.5  100
36.3  19
37.1  17
39.5  14
52.9  12
54.7  11
62.9  15
64.0  12
67.3  10
68.0  10

---

Simulated powder X-ray diffraction pattern of Li7Tl2Au for Cu Kα (λ = 1.5418 Å), from DFT lattice parameters and positions (GGA-PBE).
No peak broadening, texture or thermal motion is included.

Cell and atoms:
Lattice parameters (Å, degrees): 4.5378 4.5378 10.5571 90.00 90.00 120.00
Element x y z (fractional)
1 Li 0.0000 0.0000 0.0000
2 Li 0.0000 0.0000 0.2280
3 Li 0.0000 0.0000 0.4758
4 Li 0.3333 0.6667 0.0452
5 Li 0.3333 0.6667 0.6134
6 Li 0.6667 0.3333 0.4151
7 Li 0.6667 0.3333 0.8721
8 Tl 0.0000 0.0000 0.7374
9 Tl 0.3333 0.6667 0.3232
10 Au 0.6667 0.3333 0.1340

Principal peaks in the range 10° ≤ 2θ ≤ 80°, in order of rising 2θ:
2θ/deg  intensity
16.8  26
24.2  100
28.3  45
34.2  37
39.7  34
41.2  30
43.4  15
47.0  17
59.8  17
63.2  15